Simulated powder diffractogram
Compound: B5C7
Radiation: copper Kα
Structure: a cell relaxed with PBE
No peak broadening, texture or thermal motion is included.

Atomic structure:
```
12
Lattice="2.511 0.000 0.000 0.000 2.511 0.000 0.000 0.000 12.379" Properties=species:S:1:pos:R:3 pbc="T T T"
B 0.000 0.000 0.000
B 0.000 0.000 4.210
B 0.000 0.000 8.169
B 1.255 1.255 2.130
B 1.255 1.255 10.249
C 0.000 1.255 1.057
C 0.000 1.255 5.304
C 0.000 1.255 9.197
C 1.255 0.000 3.182
C 1.255 0.000 7.075
C 1.255 0.000 11.322
C 1.255 1.255 6.190
```

Peak list (8 most intense, 2θ = 5–70°, by angle)
| Position (°2θ) | Rel. int. |
| --- | --- |
| 7.14 | 122 |
| 14.31 | 23 |
| 21.54 | 9 |
| 28.85 | 7 |
| 42.13 | 1000 |
| 46.58 | 9 |
| 64.59 | 6 |
| 69.90 | 281 |